Record 1
Starting from DFT lattice parameters and positions (PBE), the powder XRD pattern of Sm3GaCoS7 was calculated for a wavelength of 1.5418 Å.

Cell and atoms:
```
data_Sm3GaCoS7
_chemical_formula_sum 'Sm6 Ga2 Co2 S14'
_space_group_name_H-M_alt 'P 63'
_space_group_IT_number 173
_cell_length_a 9.7620
_cell_length_b 9.7620
_cell_length_c 6.1437
_cell_angle_alpha 90.00
_cell_angle_beta 90.00
_cell_angle_gamma 120.00
loop_
_space_group_symop_operation_xyz
'x,y,z'
'x-y,x,z+1/2'
'-y,x-y,z'
'-x,-y,z+1/2'
'-x+y,-x,z'
'y,-x+y,z+1/2'
loop_
_atom_site_label
_atom_site_fract_x
_atom_site_fract_y
_atom_site_fract_z
_atom_site_occupancy
Sm1 0.1523 0.3728 0.0000 1
Ga1 0.3333 0.6667 0.5739 1
Co1 0.0000 0.0000 0.1798 1
S1 0.0884 0.5692 0.7257 1
S2 0.0917 0.2201 0.4222 1
S3 0.3333 0.6667 0.2074 1
```

Top 10 peaks for 5° ≤ 2θ ≤ 70°, in order of rising 2θ:
two_theta  intensity
17.85  21
25.58  100
27.92  19
35.03  28
36.15  34
36.83  37
40.74  19
41.21  18
49.44  26
51.74  16

Record 2
Starting from DFT lattice parameters and positions (PBE), the powder XRD pattern of ScGa5Co was calculated for a wavelength of 1.5418 Å.

Cell and atoms:
```
data_ScGa5Co
_chemical_formula_sum 'Sc1 Ga5 Co1'
_space_group_name_H-M_alt 'P 4/m m m'
_space_group_IT_number 123
_space_group_name_Hall '-P 4 2'
_cell_length_a 4.1560
_cell_length_b 4.1560
_cell_length_c 6.6240
_cell_angle_alpha 90.00
_cell_angle_beta 90.00
_cell_angle_gamma 90.00
loop_
_atom_site_label
_atom_site_fract_x
_atom_site_fract_y
_atom_site_fract_z
_atom_site_occupancy
Sc1 0.0000 0.0000 0.0000 1
Ga1 0.0000 0.5000 0.3027 1
Ga2 0.5000 0.5000 0.0000 1
Co1 0.0000 0.0000 0.5000 1
```

Top 10 peaks for 5° ≤ 2θ ≤ 70°, in order of rising 2θ:
two_theta  intensity
25.30  18
30.42  9
33.36  24
40.87  14
41.06  100
43.55  56
51.04  5
51.79  11
61.25  16
63.29  17